The following is a simulated X-ray powder pattern of LiBi3Br2O4. It was derived from DFT lattice parameters and positions (PBE), using Cu Kα (λ = 1.5418 Å).
Neutral-atom scattering factors, no anomalous dispersion.

Structural model:
a b c (Å): 5.5766 6.9505 6.9505
angles (deg): 47.24 90.00 90.00
Fractional coordinates of all 10 atoms:
Li  0.0000  0.0000  0.0000
Bi  0.0000  0.3622  0.3622
Bi  0.5000  0.5453  0.5453
Bi  0.5000  0.8655  0.8655
Br  0.0000  0.7178  0.7178
Br  0.5000  0.2079  0.2079
O  0.2523  0.2078  0.7014
O  0.2523  0.7014  0.2078
O  0.7477  0.2078  0.7014
O  0.7477  0.7014  0.2078

Main lines, in order of rising 2θ (10 to 80 degrees two-theta):
2θ (°)	d/Å	intensity
13.91	6.368	19
17.38	5.103	12
21.18	4.195	10
23.63	3.765	17
30.96	2.888	100
32.12	2.787	39
46.07	1.970	20
54.33	1.689	22
56.54	1.628	37
64.53	1.444	10



The following is a simulated X-ray powder pattern of Rb2LiBiBr6. It was derived from DFT lattice parameters and positions (PBE), using Cu Kα (λ = 1.5418 Å).
Neutral-atom scattering factors, no anomalous dispersion.

Structural model:
a b c (Å): 7.9450 7.9450 7.9450
angles (deg): 60.00 60.00 60.00
Fractional coordinates of all 10 atoms:
Rb  0.2500  0.2500  0.2500
Rb  0.7500  0.7500  0.7500
Li  0.0000  0.0000  0.0000
Bi  0.5000  0.5000  0.5000
Br  0.2449  0.2449  0.7551
Br  0.2449  0.7551  0.2449
Br  0.2449  0.7551  0.7551
Br  0.7551  0.2449  0.2449
Br  0.7551  0.2449  0.7551
Br  0.7551  0.7551  0.2449

Main lines, in order of rising 2θ (10 to 80 degrees two-theta):
2θ (°)	d/Å	intensity
13.65	6.487	42
15.77	5.618	29
22.38	3.972	30
26.31	3.388	36
27.50	3.244	54
31.86	2.809	100
45.68	1.986	72
54.15	1.694	22
56.77	1.622	25
75.71	1.256	32



The following is a simulated X-ray powder pattern of LuBi2BrO4. It was derived from DFT lattice parameters and positions (PBE), using Cu Kα (λ = 1.5418 Å).
Neutral-atom scattering factors, no anomalous dispersion.

Structural model:
a b c (Å): 3.8771 3.8771 9.2763
angles (deg): 90.00 90.00 90.00
Fractional coordinates of all 8 atoms:
Lu  0.0000  0.0000  0.0000
Bi  0.5000  0.5000  0.2673
Bi  0.5000  0.5000  0.7327
Br  0.0000  0.0000  0.5000
O  0.0000  0.5000  0.1445
O  0.0000  0.5000  0.8555
O  0.5000  0.0000  0.1445
O  0.5000  0.0000  0.8555

Main lines, in order of rising 2θ (10 to 80 degrees two-theta):
2θ (°)	d/Å	intensity
24.89	3.577	7
30.04	2.975	100
32.66	2.742	33
38.83	2.319	10
46.87	1.939	18
51.62	1.771	24
56.68	1.624	34
62.44	1.487	10
64.94	1.436	9
76.52	1.245	7